Diffraction record for BaGeAs2O8. The powder diffraction line list is calculated, not measured: it uses the GGA-PBE geometry in the Materials Project and Cu Kα (λ = 1.5418 Å).
No peak broadening, texture or thermal motion is included.

Principal peaks in the range 5 to 70 degrees two-theta, by intensity:
2θ/deg, d [Å], I_rel
29.47, 3.031, 100
22.85, 3.891, 72
36.12, 2.487, 63
33.25, 2.695, 41
30.34, 2.946, 41
21.13, 4.205, 36
23.40, 3.801, 36
19.56, 4.537, 25

Atomic structure:
```
BaGeAs2O8
1.0
4.2112 -2.6945 0.0000
4.2112 2.6945 0.0000
-0.4253 0.0000 7.9395
Ba Ge As O
1 1 2 8
Cartesian
0.0000 0.0000 0.0000 Ba
-0.2126 0.0000 3.9697 Ge
2.7511 0.0000 5.5169 As
5.2461 0.0000 2.4225 As
1.6426 0.0000 4.2152 O
3.7885 1.3937 5.3734 O
4.2086 1.3937 2.5660 O
2.2245 0.0000 7.1213 O
5.7727 0.0000 0.8182 O
3.7885 -1.3937 5.3734 O
4.2086 -1.3937 2.5660 O
6.3546 0.0000 3.7242 O
```


Diffraction record for Ba3As4H2O14. The powder diffraction line list is calculated, not measured: it uses the GGA-PBE geometry in the Materials Project and Cu Kα (λ = 1.5418 Å).
No peak broadening, texture or thermal motion is included.

Principal peaks in the range 5 to 70 degrees two-theta, by intensity:
2θ/deg, d [Å], I_rel
25.11, 3.547, 100
25.75, 3.460, 91
26.57, 3.355, 81
30.62, 2.920, 60
40.51, 2.227, 43
33.28, 2.692, 38
42.83, 2.111, 38
25.43, 3.503, 35

Atomic structure:
```
Ba3As4H2O14
1.0
6.0800 -4.2941 0.0000
6.0800 4.2941 0.0000
-4.0309 0.0000 14.0128
Ba As H O
6 8 4 28
Cartesian
3.0569 3.2820 10.5096 Ba
1.1055 0.0414 7.6540 Ba
3.1210 -0.0414 0.6476 Ba
5.0082 0.0414 13.3652 Ba
7.0237 -0.0414 6.3588 Ba
5.0723 -3.2820 3.5032 Ba
4.0308 2.3880 6.4529 As
6.1139 2.3880 0.5536 As
2.8833 0.3359 4.2796 As
0.8678 -0.3359 11.2860 As
7.2614 0.3359 2.7269 As
5.2459 -0.3359 9.7333 As
2.0153 -2.3880 13.4593 As
4.0984 -2.3880 7.5600 As
2.3380 2.2637 3.1633 H
7.8067 2.2637 3.8431 H
0.3225 -2.2637 10.1697 H
5.7912 -2.2637 10.8496 H
3.7170 3.6352 5.3470 O
0.5303 2.2456 13.9114 O
3.0319 1.5608 2.9982 O
2.7280 2.2606 7.5476 O
6.4276 3.6352 1.6594 O
1.3300 0.4080 4.9294 O
1.3038 1.0970 10.5124 O
-0.6854 -0.4080 11.9358 O
3.3857 2.2606 13.4716 O
5.5834 2.2456 7.1078 O
4.0814 0.7577 5.5123 O
6.0633 0.7577 1.4941 O
3.3192 -1.0970 3.5060 O
7.1127 1.5608 4.0082 O
1.0165 -1.5608 10.0046 O
4.8100 1.0970 10.5068 O
2.0659 -0.7577 12.5187 O
4.0478 -0.7577 8.5005 O
2.5458 -2.2456 6.9050 O
4.7435 -2.2606 0.5412 O
8.8146 0.4080 2.0770 O
6.8254 -1.0970 3.5004 O
6.7991 -0.4080 9.0834 O
1.7016 -3.6352 12.3534 O
5.4012 -2.2606 6.4652 O
5.0972 -1.5608 11.0146 O
7.5989 -2.2456 0.1014 O
4.4121 -3.6352 8.6658 O
```


Diffraction record for Ba2In5As5. The powder diffraction line list is calculated, not measured: it uses the GGA-PBE geometry in the Materials Project and Cu Kα (λ = 1.5418 Å).
No peak broadening, texture or thermal motion is included.

Principal peaks in the range 5 to 70 degrees two-theta, by intensity:
2θ/deg, d [Å], I_rel
27.15, 3.284, 100
26.98, 3.304, 77
29.77, 3.001, 65
41.23, 2.189, 57
28.04, 3.183, 42
28.64, 3.117, 39
25.55, 3.486, 29
51.68, 1.769, 28

Atomic structure:
```
Ba2In5As5
1.0
17.7506 0.0000 0.0000
0.0000 4.3788 0.0000
0.0000 0.0000 18.2692
Ba In As
8 20 20
Cartesian
0.3732 1.0947 2.2014 Ba
0.7630 1.0947 11.5157 Ba
8.1123 3.2841 2.3811 Ba
8.5021 3.2841 11.3360 Ba
9.2485 1.0947 6.9332 Ba
9.6383 1.0947 15.8880 Ba
16.9876 3.2841 6.7534 Ba
17.3775 3.2841 16.0678 Ba
2.7840 1.0947 5.6999 In
3.0209 3.2841 8.6299 In
3.0603 1.0947 17.1988 In
3.3322 3.2841 14.2197 In
3.7505 3.2841 2.3194 In
5.1248 1.0947 11.4540 In
5.5431 1.0947 5.0851 In
5.8150 3.2841 8.0643 In
5.8544 1.0947 17.7645 In
6.0913 3.2841 14.8345 In
11.6593 1.0947 3.4347 In
11.8962 3.2841 0.5047 In
11.9356 1.0947 10.2049 In
12.2075 3.2841 13.1841 In
12.6258 3.2841 6.8152 In
14.0002 1.0947 15.9498 In
14.4184 1.0947 4.0495 In
14.6903 3.2841 1.0703 In
14.7297 1.0947 9.6393 In
14.9666 3.2841 12.5693 In
1.4403 1.0947 8.0937 As
1.8192 1.0947 14.7852 As
1.8796 3.2841 4.3216 As
2.0146 3.2841 0.2170 As
3.4692 3.2841 11.4305 As
5.4061 1.0947 2.2959 As
6.8607 1.0947 9.3516 As
6.9957 1.0947 13.4562 As
7.0561 3.2841 5.6507 As
7.4350 3.2841 17.2283 As
10.3156 1.0947 1.0409 As
10.6945 1.0947 12.6185 As
10.7549 3.2841 4.8130 As
10.8899 3.2841 8.9176 As
12.3445 3.2841 15.9733 As
14.2814 1.0947 6.8387 As
15.7360 1.0947 18.0521 As
15.8710 1.0947 13.9476 As
15.9314 3.2841 3.4839 As
16.3103 3.2841 10.1755 As
```